The following is a theoretical powder X-ray diffraction pattern of Ca2WO5. It was derived from a crystal structure in the Materials Project, relaxed with PBE+U, using CuKα.

Most intense lines, 10° ≤ 2θ ≤ 90°, in order of rising 2θ:
2theta	d (Å)	intensity
16.54	5.360	413
20.54	4.324	264
21.93	4.054	1000
29.38	3.040	441
29.57	3.021	238
29.87	2.991	584
32.77	2.733	294
44.71	2.027	211

Structure:
a b c (Å): 7.314 5.466 10.721
angles (deg): 90.00 90.00 90.00
Atoms (fractional coordinates):
Ca 0.010 0.250 0.242
Ca 0.149 0.250 0.580
Ca 0.351 0.750 0.080
Ca 0.490 0.750 0.742
Ca 0.510 0.250 0.258
Ca 0.649 0.250 0.920
Ca 0.851 0.750 0.420
Ca 0.990 0.750 0.758
W 0.185 0.250 0.941
W 0.315 0.750 0.441
W 0.685 0.250 0.559
W 0.815 0.750 0.059
O 0.000 0.000 0.000
O 0.000 0.500 0.000
O 0.068 0.250 0.785
O 0.146 0.501 0.402
O 0.146 0.999 0.402
O 0.231 0.750 0.621
O 0.269 0.250 0.121
O 0.354 0.001 0.902
O 0.354 0.499 0.902
O 0.432 0.750 0.285
O 0.500 0.000 0.500
O 0.500 0.500 0.500
O 0.568 0.250 0.715
O 0.646 0.501 0.098
O 0.646 0.999 0.098
O 0.731 0.750 0.879
O 0.769 0.250 0.379
O 0.854 0.001 0.598
O 0.854 0.499 0.598
O 0.932 0.750 0.215

=====

The following is a theoretical powder X-ray diffraction pattern of CaW4O8. It was derived from a crystal structure in the Materials Project, relaxed with PBE+U, using CuKα.

Most intense lines, 10° ≤ 2θ ≤ 90°, in order of rising 2θ:
2theta	d (Å)	intensity
16.15	5.487	1000
31.98	2.798	469
33.38	2.684	386
38.52	2.337	498
42.02	2.150	188
50.39	1.811	182
56.10	1.639	167
58.79	1.571	202

Structure:
a b c (Å): 6.666 6.666 6.666
angles (deg): 58.92 58.92 58.92
Atoms (fractional coordinates):
Ca 0.000 0.000 0.000
W 0.000 0.000 0.500
W 0.000 0.500 0.000
W 0.500 0.000 0.000
W 0.500 0.500 0.500
O 0.219 0.738 0.738
O 0.221 0.221 0.221
O 0.262 0.262 0.781
O 0.262 0.781 0.262
O 0.738 0.219 0.738
O 0.738 0.738 0.219
O 0.779 0.779 0.779
O 0.781 0.262 0.262

=====

The following is a theoretical powder X-ray diffraction pattern of Ca2W9O13. It was derived from a crystal structure in the Materials Project, relaxed with PBE+U, using CuKα.

Most intense lines, 10° ≤ 2θ ≤ 90°, in order of rising 2θ:
2theta	d (Å)	intensity
29.20	3.059	1000
33.08	2.708	644
33.18	2.700	339
33.28	2.692	322
33.61	2.667	609
34.70	2.585	470
35.49	2.529	536
37.98	2.369	314

Structure:
a b c (Å): 3.296 5.505 18.411
angles (deg): 89.34 86.15 84.53
Atoms (fractional coordinates):
Ca 0.179 0.068 0.270
Ca 0.821 0.932 0.730
W 0.164 0.401 0.838
W 0.223 0.175 0.458
W 0.271 0.007 0.070
W 0.333 0.367 0.627
W 0.500 0.500 0.000
W 0.667 0.633 0.373
W 0.729 0.993 0.930
W 0.777 0.825 0.542
W 0.836 0.599 0.162
O 0.003 0.617 0.934
O 0.134 0.887 0.388
O 0.216 0.375 0.361
O 0.248 0.031 0.864
O 0.276 0.219 0.734
O 0.349 0.395 0.198
O 0.500 0.500 0.500
O 0.651 0.605 0.802
O 0.724 0.781 0.266
O 0.752 0.969 0.136
O 0.784 0.625 0.639
O 0.866 0.113 0.612
O 0.997 0.383 0.066

=====

The following is a theoretical powder X-ray diffraction pattern of CaW2O5. It was derived from a crystal structure in the Materials Project, relaxed with PBE+U, using CuKα.

Most intense lines, 10° ≤ 2θ ≤ 90°, in order of rising 2θ:
2theta	d (Å)	intensity
16.12	5.499	1000
22.39	3.971	252
23.64	3.763	526
27.94	3.193	349
32.07	2.791	795
32.22	2.778	214
42.45	2.129	209
59.75	1.548	230

Structure:
a b c (Å): 5.896 5.896 11.768
angles (deg): 90.00 90.00 137.66
Atoms (fractional coordinates):
Ca 0.100 0.900 0.750
Ca 0.900 0.100 0.250
W 0.206 0.794 0.095
W 0.206 0.794 0.405
W 0.794 0.206 0.595
W 0.794 0.206 0.905
O 0.039 0.961 0.119
O 0.039 0.961 0.381
O 0.257 0.743 0.573
O 0.257 0.743 0.927
O 0.297 0.703 0.250
O 0.703 0.297 0.750
O 0.743 0.257 0.073
O 0.743 0.257 0.427
O 0.961 0.039 0.619
O 0.961 0.039 0.881